1.
LiNp2Ag3S6: simulated powder XRD pattern (copper Kα), based on the GGA-PBE geometry in Alexandria.

Structure:
Unit cell a=16.0330 b=4.0384 c=7.7407 alpha=90.00 beta=99.78 gamma=90.00
Space group C2/m (No. 12)
Inequivalent atoms, fractional coordinates:
1 Li 0.0000 0.0000 0.0000
2 Np 0.1587 0.5000 0.3221
3 Ag 0.0000 0.0000 0.5000
4 Ag 0.1685 0.5000 0.8331
5 S 0.0034 0.5000 0.7562
6 S 0.1670 0.0000 0.0961
7 S 0.1700 0.0000 0.5623

The 10 most intense peaks (10 to 80 degrees two-theta), by intensity:
32.08 deg, intensity 100, hkl 1 1 -2; 27.84 deg, intensity 51, hkl 3 1 0; 34.05 deg, intensity 46, hkl 6 0 0; 46.13 deg, intensity 38, hkl 5 1 2; 48.78 deg, intensity 29, hkl 7 1 -2; 27.65 deg, intensity 25, hkl 2 0 2; 29.67 deg, intensity 22, hkl 4 0 -2; 11.60 deg, intensity 21, hkl 0 0 1; 11.20 deg, intensity 20, hkl 2 0 0; 57.52 deg, intensity 20, hkl 6 2 0


2.
Ca2Zr2H: simulated powder XRD pattern (copper Kα), based on the GGA-PBE geometry in Alexandria.

Structure:
Unit cell a=6.1372 b=6.1372 c=6.4016 alpha=90.00 beta=90.00 gamma=90.00
Space group P4/mbm (No. 127)
Inequivalent atoms, fractional coordinates:
1 Ca 0.1983 0.3017 0.0000
2 Zr 0.1570 0.6570 0.5000
3 H 0.0000 0.0000 0.0000

The 10 most intense peaks (10 to 80 degrees two-theta), by intensity:
35.59 deg, intensity 100, hkl 2 1 1; 27.87 deg, intensity 50, hkl 0 0 2; 13.83 deg, intensity 32, hkl 0 0 1; 54.47 deg, intensity 28, hkl 2 1 3; 29.10 deg, intensity 23, hkl 2 0 0; 40.73 deg, intensity 18, hkl 2 0 2; 64.25 deg, intensity 16, hkl 4 1 1; 32.63 deg, intensity 15, hkl 2 1 0; 43.43 deg, intensity 14, hkl 2 1 2; 20.47 deg, intensity 12, hkl 1 1 0


3.
Ca3TmHg12: simulated powder XRD pattern (copper Kα), based on the GGA-PBE geometry in Alexandria.

Structure:
Unit cell a=4.6561 b=4.6561 c=18.6508 alpha=90.00 beta=90.00 gamma=90.00
Space group P4/mmm (No. 123)
Inequivalent atoms, fractional coordinates:
1 Ca 0.0000 0.0000 0.0000
2 Ca 0.0000 0.0000 0.2517
3 Tm 0.0000 0.0000 0.5000
4 Hg 0.0000 0.5000 0.1262
5 Hg 0.0000 0.5000 0.3797
6 Hg 0.5000 0.5000 0.0000
7 Hg 0.5000 0.5000 0.2531
8 Hg 0.5000 0.5000 0.5000

The 10 most intense peaks (10 to 80 degrees two-theta), by intensity:
33.31 deg, intensity 100, hkl 1 1 4; 38.66 deg, intensity 50, hkl 2 0 0; 66.58 deg, intensity 41, hkl 3 1 4; 55.82 deg, intensity 35, hkl 2 2 0; 69.96 deg, intensity 12, hkl 2 2 8; 19.05 deg, intensity 10, hkl 1 0 0; 27.07 deg, intensity 9, hkl 1 1 0; 43.44 deg, intensity 5, hkl 2 1 0; 47.83 deg, intensity 4, hkl 2 1 4; 59.54 deg, intensity 3, hkl 3 0 0


4.
BaAg3Sn3: simulated powder XRD pattern (copper Kα), based on the GGA-PBE geometry in Alexandria.

Structure:
Unit cell a=7.7587 b=7.7587 c=23.6531 alpha=90.00 beta=90.00 gamma=120.00
Space group R-3 (No. 148, hexagonal axes)
Inequivalent atoms, fractional coordinates:
1 Ba 0.0000 0.0000 0.1759
2 Ag 0.0456 0.8041 0.9502
3 Sn 0.0646 0.8016 0.3939

The 10 most intense peaks (10 to 80 degrees two-theta), by intensity:
36.18 deg, intensity 100, hkl 1 2 2; 11.22 deg, intensity 50, hkl 0 0 3; 34.12 deg, intensity 46, hkl 0 0 9; 44.63 deg, intensity 46, hkl 3 -1 7; 38.58 deg, intensity 42, hkl 3 -1 4; 25.59 deg, intensity 41, hkl 2 -1 3; 56.05 deg, intensity 33, hkl 1 2 11; 40.31 deg, intensity 31, hkl 1 2 5; 63.45 deg, intensity 27, hkl 4 1 0; 74.04 deg, intensity 27, hkl 5 -4 9


5.
Pu4Cd3Au4: simulated powder XRD pattern (copper Kα), based on the GGA-PBE geometry in Alexandria.

Structure:
Unit cell a=5.3345 b=5.7799 c=17.1493 alpha=90.00 beta=90.00 gamma=90.00
Space group Immm (No. 71)
Inequivalent atoms, fractional coordinates:
1 Pu 0.0000 0.2497 0.1775
2 Cd 0.0000 0.0000 0.4051
3 Cd 0.0000 0.5000 0.5000
4 Au 0.0000 0.2539 0.0000
5 Au 0.0000 0.5000 0.3360

The 10 most intense peaks (10 to 80 degrees two-theta), by intensity:
35.72 deg, intensity 100, hkl 1 2 1; 33.60 deg, intensity 73, hkl 2 0 0; 30.99 deg, intensity 54, hkl 1 0 5; 31.30 deg, intensity 49, hkl 0 0 6; 44.37 deg, intensity 43, hkl 1 2 5; 46.57 deg, intensity 34, hkl 2 0 6; 38.78 deg, intensity 33, hkl 1 2 3; 70.92 deg, intensity 25, hkl 1 2 11; 39.00 deg, intensity 24, hkl 1 1 6; 61.47 deg, intensity 21, hkl 3 2 1


6.
CsRb4O: simulated powder XRD pattern (copper Kα), based on the GGA-PBE geometry in Alexandria.

Structure:
Unit cell a=10.4279 b=10.4279 c=7.4724 alpha=90.00 beta=90.00 gamma=90.00
Space group I4 (No. 79)
Inequivalent atoms, fractional coordinates:
1 Cs 0.0000 0.0000 0.0000
2 Rb 0.0332 0.2554 0.4359
3 O 0.0000 0.0000 0.3643

The 10 most intense peaks (10 to 80 degrees two-theta), by intensity:
22.47 deg, intensity 100, hkl 2 1 1; 23.82 deg, intensity 26, hkl 0 0 2; 33.22 deg, intensity 25, hkl 3 2 1; 12.00 deg, intensity 23, hkl 1 1 0; 34.40 deg, intensity 18, hkl 4 0 0; 42.27 deg, intensity 17, hkl 4 0 2; 41.08 deg, intensity 17, hkl 2 1 3; 27.04 deg, intensity 16, hkl 1 3 0; 36.34 deg, intensity 13, hkl 1 3 2; 14.58 deg, intensity 12, hkl 1 0 1


7.
TlGa2Te3: simulated powder XRD pattern (copper Kα), based on the GGA-PBE geometry in Alexandria.

Structure:
Unit cell a=25.1845 b=4.8902 c=7.1789 alpha=90.00 beta=104.92 gamma=90.00
Space group C2/m (No. 12)
Inequivalent atoms, fractional coordinates:
1 Tl 0.1321 0.0000 0.3998
2 Ga 0.0622 0.5000 0.9293
3 Ga 0.2044 0.0000 0.0314
4 Te 0.0450 0.5000 0.2816
5 Te 0.0982 0.0000 0.8276
6 Te 0.2287 0.5000 0.2178

The 10 most intense peaks (10 to 80 degrees two-theta), by intensity:
21.21 deg, intensity 100, hkl 3 1 0; 36.75 deg, intensity 75, hkl 0 2 0; 30.99 deg, intensity 69, hkl 5 1 1; 33.12 deg, intensity 63, hkl 5 1 -2; 21.97 deg, intensity 52, hkl 6 0 0; 24.81 deg, intensity 47, hkl 2 0 -2; 31.56 deg, intensity 37, hkl 7 1 0; 25.83 deg, intensity 33, hkl 5 1 0; 44.35 deg, intensity 32, hkl 1 1 3; 35.82 deg, intensity 30, hkl 10 0 -1


8.
Rb5IrS5: simulated powder XRD pattern (copper Kα), based on the GGA-PBE geometry in Alexandria.

Structure:
Unit cell a=14.5874 b=6.2094 c=8.7404 alpha=90.00 beta=110.20 gamma=90.00
Space group C2/m (No. 12)
Inequivalent atoms, fractional coordinates:
1 Rb 0.0000 0.0000 0.0000
2 Rb 0.1653 0.5000 0.3363
3 Rb 0.1945 0.5000 0.7997
4 Ir 0.0000 0.0000 0.5000
5 S 0.0000 0.5000 0.5000
6 S 0.1200 0.0000 0.3790
7 S 0.1261 0.0000 0.7624

The 10 most intense peaks (10 to 80 degrees two-theta), by intensity:
24.20 deg, intensity 100, hkl 3 1 0; 28.75 deg, intensity 93, hkl 0 2 0; 24.93 deg, intensity 88, hkl 1 1 -2; 28.99 deg, intensity 78, hkl 2 0 2; 41.30 deg, intensity 75, hkl 2 2 2; 10.79 deg, intensity 69, hkl 0 0 1; 27.58 deg, intensity 62, hkl 4 0 -2; 15.67 deg, intensity 47, hkl 1 1 0; 40.27 deg, intensity 44, hkl 4 2 -2; 49.58 deg, intensity 25, hkl 6 2 0